For LaMgCrBiO6, a PBE+U-relaxed structure gives the theoretical PXRD pattern in this record (Cu Ka).
Lines closer than 0.1° are merged.

Cell and atoms:
```
data_LaMgCrBiO6
_chemical_formula_sum 'La2 Mg2 Cr2 Bi2 O12'
_cell_length_a 5.5588
_cell_length_b 5.7603
_cell_length_c 9.7663
_cell_angle_alpha 90.00
_cell_angle_beta 123.74
_cell_angle_gamma 90.00
_symmetry_space_group_name_H-M 'P 1 c 1'
_symmetry_Int_Tables_number 7
loop_
_symmetry_equiv_pos_as_xyz
'x,y,z'
'x,-y,z+1/2'
loop_
_atom_site_label
_atom_site_type_symbol
_atom_site_fract_x
_atom_site_fract_y
_atom_site_fract_z
La1 La 0.0000 0.1937 0.0000
Mg1 Mg 0.4652 0.2997 0.4970
Cr1 Cr 0.2357 0.2558 0.7481
Bi1 Bi 0.7350 0.2547 0.2495
O1 O 0.0217 0.4443 0.8170
O2 O 0.1514 0.0543 0.3178
O3 O 0.3472 0.4687 0.1738
O4 O 0.4623 0.0832 0.6738
O5 O 0.5797 0.3336 0.9819
O6 O 0.8510 0.2038 0.5174
```

Main lines, in order of rising 2θ (2θ = 10–80°):
| (hkl) | 2θ (°) | I (rel.) |
| --- | --- | --- |
| 0 1 1 | 18.9 | 66 |
| 0 2 0 | 31.1 | 43 |
| 1 1 1 | 31.2 | 100 |
| 1 1 -3 | 31.6 | 97 |
| 2 0 -2 | 32.2 | 42 |
| 1 2 0 | 36.7 | 38 |
| 2 2 -2 | 45.3 | 40 |
| 0 2 4 | 55.4 | 37 |

---

For LaZnCrBiO6, a PBE+U-relaxed structure gives the theoretical PXRD pattern in this record (Cu Ka).
Lines closer than 0.1° are merged.

Cell and atoms:
```
data_LaZnCrBiO6
_chemical_formula_sum 'La2 Zn2 Cr2 Bi2 O12'
_cell_length_a 5.6546
_cell_length_b 6.5423
_cell_length_c 9.2286
_cell_angle_alpha 90.00
_cell_angle_beta 123.92
_cell_angle_gamma 90.00
_symmetry_space_group_name_H-M 'P 1 c 1'
_symmetry_Int_Tables_number 7
loop_
_symmetry_equiv_pos_as_xyz
'x,y,z'
'x,-y,z+1/2'
loop_
_atom_site_label
_atom_site_type_symbol
_atom_site_fract_x
_atom_site_fract_y
_atom_site_fract_z
La1 La 0.0000 0.1469 0.0000
Zn1 Zn 0.5309 0.1371 0.5258
Cr1 Cr 0.2568 0.2841 0.7445
Bi1 Bi 0.7581 0.3272 0.2617
O1 O 0.0806 0.4790 0.1802
O2 O 0.1999 0.1921 0.5317
O3 O 0.4047 0.2347 0.9830
O4 O 0.5256 0.0964 0.3133
O5 O 0.6300 0.3856 0.8105
O6 O 0.9383 0.0880 0.7008
```

Main lines, in order of rising 2θ (2θ = 10–80°):
| (hkl) | 2θ (°) | I (rel.) |
| --- | --- | --- |
| 0 1 1 | 17.8 | 32 |
| 1 0 -2 | 20.2 | 31 |
| 0 1 2 | 27.0 | 58 |
| 1 1 1 | 30.6 | 100 |
| 1 2 -1 | 31.6 | 99 |
| 2 0 -2 | 31.7 | 62 |
| 1 1 -3 | 32.2 | 86 |
| 0 3 2 | 48.0 | 40 |

---

For Li4Cr5BiO12, a PBE+U-relaxed structure gives the theoretical PXRD pattern in this record (Cu Ka).
Lines closer than 0.1° are merged.

Cell and atoms:
```
data_Li4Cr5BiO12
_chemical_formula_sum 'Li8 Cr10 Bi2 O24'
_cell_length_a 5.2653
_cell_length_b 9.1475
_cell_length_c 10.1465
_cell_angle_alpha 90.00
_cell_angle_beta 97.29
_cell_angle_gamma 90.00
_symmetry_space_group_name_H-M 'C 1 2/m 1'
_symmetry_Int_Tables_number 12
loop_
_symmetry_equiv_pos_as_xyz
'x,y,z'
'-x,-y,-z'
'-x,y,-z'
'x,-y,z'
'x+1/2,y+1/2,z'
'-x+1/2,-y+1/2,-z'
'-x+1/2,y+1/2,-z'
'x+1/2,-y+1/2,z'
loop_
_atom_site_label
_atom_site_type_symbol
_atom_site_fract_x
_atom_site_fract_y
_atom_site_fract_z
Li1 Li 0.1142 0.1683 0.2748
Cr1 Cr 0.0000 0.0000 0.5000
Cr2 Cr 0.0000 0.1663 0.0000
Cr3 Cr 0.0000 0.3360 0.5000
Bi1 Bi 0.0000 0.5000 0.0000
O1 O 0.1076 0.0000 0.8908
O2 O 0.1555 0.3181 0.8896
O3 O 0.1863 0.1720 0.6026
O4 O 0.2020 0.5000 0.6030
```

Main lines, in order of rising 2θ (2θ = 10–80°):
| (hkl) | 2θ (°) | I (rel.) |
| --- | --- | --- |
| 0 0 2 | 17.6 | 100 |
| 2 0 0 | 34.3 | 12 |
| 1 3 -1 | 34.7 | 23 |
| 1 3 1 | 35.8 | 20 |
| 2 0 -2 | 36.7 | 15 |
| 2 0 2 | 40.9 | 13 |
| 1 3 -3 | 42.3 | 19 |
| 1 3 3 | 45.1 | 21 |